No. 1
Theoretical XRD peak list of Ba10Co7Ir3O30 for copper Kα, from a PBE+U-relaxed structure.

Structure:
```
data_Ba10Co7Ir3O30
_symmetry_space_group_name_H-M 'C 1 m 1'
_symmetry_Int_Tables_number 8
_cell_length_a 10.002
_cell_length_b 5.778
_cell_length_c 23.952
_cell_angle_alpha 90.00
_cell_angle_beta 90.92
_cell_angle_gamma 90.00
loop_
_symmetry_equiv_pos_as_xyz
'x,y,z'
'x,-y,z'
'x+1/2,y+1/2,z'
'x+1/2,-y+1/2,z'
loop_
_atom_site_label
_atom_site_type_symbol
_atom_site_fract_x
_atom_site_fract_y
_atom_site_fract_z
Ba1 Ba 0.000 0.000 0.000
Ba2 Ba 0.000 0.000 0.397
Ba3 Ba 0.001 0.000 0.185
Ba4 Ba 0.001 0.000 0.582
Ba5 Ba 0.167 0.500 0.904
Ba6 Ba 0.168 0.500 0.497
Ba7 Ba 0.169 0.500 0.678
Ba8 Ba 0.170 0.500 0.087
Ba9 Ba 0.333 0.000 0.287
Ba10 Ba 0.335 0.000 0.791
Co1 Co 0.168 0.500 0.231
Co2 Co 0.332 0.000 0.938
Co3 Co 0.334 0.000 0.540
Co4 Co 0.334 0.000 0.644
Co5 Co 0.335 0.000 0.041
Co6 Co 0.337 0.000 0.146
Co7 Co 0.337 0.000 0.436
Ir1 Ir 0.001 0.000 0.737
Ir2 Ir 0.001 0.000 0.844
Ir3 Ir 0.168 0.500 0.343
O1 O 0.007 0.500 0.389
O2 O 0.080 0.237 0.791
O3 O 0.093 0.275 0.290
O4 O 0.161 0.000 0.691
O5 O 0.169 0.000 0.890
O6 O 0.185 0.000 0.493
O7 O 0.191 0.000 0.093
O8 O 0.248 0.254 0.190
O9 O 0.249 0.253 0.390
O10 O 0.257 0.225 0.993
O11 O 0.259 0.223 0.590
O12 O 0.321 0.500 0.294
O13 O 0.344 0.500 0.789
O14 O 0.410 0.222 0.089
O15 O 0.410 0.223 0.490
O16 O 0.419 0.253 0.691
O17 O 0.421 0.259 0.889
O18 O 0.481 0.000 0.989
O19 O 0.484 0.000 0.588
O20 O 0.491 0.000 0.188
```

The 10 most intense peaks (2θ = 10–90°), by angle:
2θ (°), Rel. int.
18.1, 145
25.6, 198
25.9, 93
28.5, 84
31.0, 1000
31.6, 81
31.8, 123
40.8, 102
55.1, 219
64.5, 122

=====

No. 2
Theoretical XRD peak list of Ba3La7Mn2Co8O30 for copper Kα, from a PBE+U-relaxed structure.

Structure:
```
data_Ba3La7Mn2Co8O30
_symmetry_space_group_name_H-M 'P 1 2/m 1'
_symmetry_Int_Tables_number 10
_cell_length_a 8.743
_cell_length_b 3.914
_cell_length_c 17.447
_cell_angle_alpha 90.00
_cell_angle_beta 90.37
_cell_angle_gamma 90.00
loop_
_symmetry_equiv_pos_as_xyz
'x,y,z'
'-x,-y,-z'
'-x,y,-z'
'x,-y,z'
loop_
_atom_site_label
_atom_site_type_symbol
_atom_site_fract_x
_atom_site_fract_y
_atom_site_fract_z
Ba1 Ba 0.000 0.000 0.000
Ba2 Ba 0.397 0.000 0.104
La1 La 0.000 0.000 0.500
La2 La 0.196 0.000 0.304
La3 La 0.201 0.000 0.797
La4 La 0.401 0.000 0.601
Mn1 Mn 0.301 0.500 0.949
Co1 Co 0.099 0.500 0.154
Co2 Co 0.101 0.500 0.647
Co3 Co 0.300 0.500 0.451
Co4 Co 0.498 0.500 0.254
O1 O 0.007 0.500 0.743
O2 O 0.087 0.000 0.165
O3 O 0.099 0.000 0.646
O4 O 0.100 0.500 0.402
O5 O 0.101 0.500 0.890
O6 O 0.195 0.500 0.549
O7 O 0.200 0.500 0.049
O8 O 0.285 0.500 0.212
O9 O 0.295 0.000 0.938
O10 O 0.299 0.000 0.451
O11 O 0.303 0.500 0.694
O12 O 0.386 0.500 0.843
O13 O 0.402 0.500 0.355
O14 O 0.499 0.000 0.261
O15 O 0.500 0.500 0.000
O16 O 0.500 0.500 0.500
```

The 10 most intense peaks (2θ = 10–90°), by angle:
2θ (°), Rel. int.
32.4, 1000
32.5, 196
39.9, 104
40.0, 101
46.4, 255
46.6, 128
57.7, 153
57.8, 152
67.7, 110
77.1, 96